Entry 1:
K2RbPdF6: computed powder diffraction line list (λ = 1.5418 Å (Cu Kα)), based on a crystal structure in the Materials Project, relaxed with GGA-PBE.

Principal peaks in the range 10 to 90 degrees two-theta, sorted by position:
| two_theta | d/Å | I/Imax |
| --- | --- | --- |
| 19.1 | 4.647 | 48 |
| 27.1 | 3.286 | 100 |
| 38.8 | 2.323 | 47 |
| 43.6 | 2.078 | 20 |
| 48.0 | 1.897 | 37 |
| 56.0 | 1.643 | 28 |
| 59.7 | 1.549 | 10 |
| 63.3 | 1.469 | 20 |
| 76.7 | 1.242 | 21 |
| 89.5 | 1.095 | 10 |

Lattice parameters (Å, degrees): 6.5714 6.5714 6.5714 60.00 60.00 60.00
Sites, in units of the cell vectors:
K (0.2500, 0.2500, 0.2500)
K (0.7500, 0.7500, 0.7500)
Rb (0.0000, 0.0000, 0.0000)
Pd (0.5000, 0.5000, 0.5000)
F (0.2790, 0.2790, 0.7210)
F (0.2790, 0.7210, 0.2790)
F (0.2790, 0.7210, 0.7210)
F (0.7210, 0.2790, 0.2790)
F (0.7210, 0.2790, 0.7210)
F (0.7210, 0.7210, 0.2790)

Entry 2:
K2TlPdF6: computed powder diffraction line list (λ = 1.5418 Å (Cu Kα)), based on a crystal structure in the Materials Project, relaxed with GGA-PBE.

Principal peaks in the range 10 to 90 degrees two-theta, sorted by position:
| two_theta | d/Å | I/Imax |
| --- | --- | --- |
| 19.5 | 4.560 | 67 |
| 27.7 | 3.225 | 100 |
| 32.6 | 2.750 | 10 |
| 39.5 | 2.280 | 39 |
| 44.4 | 2.039 | 31 |
| 48.9 | 1.862 | 41 |
| 57.1 | 1.612 | 24 |
| 60.9 | 1.520 | 15 |
| 64.6 | 1.442 | 19 |
| 78.5 | 1.219 | 21 |

Lattice parameters (Å, degrees): 6.4493 6.4493 6.4493 60.00 60.00 60.00
Sites, in units of the cell vectors:
K (0.2500, 0.2500, 0.2500)
K (0.7500, 0.7500, 0.7500)
Tl (0.0000, 0.0000, 0.0000)
Pd (0.5000, 0.5000, 0.5000)
F (0.2696, 0.2696, 0.7304)
F (0.2696, 0.7304, 0.2696)
F (0.2696, 0.7304, 0.7304)
F (0.7304, 0.2696, 0.2696)
F (0.7304, 0.2696, 0.7304)
F (0.7304, 0.7304, 0.2696)

Entry 3:
KZrPdF7: computed powder diffraction line list (λ = 1.5418 Å (Cu Kα)), based on a crystal structure in the Materials Project, relaxed with GGA-PBE.

Principal peaks in the range 10 to 90 degrees two-theta, sorted by position:
| two_theta | d/Å | I/Imax |
| --- | --- | --- |
| 15.6 | 5.693 | 58 |
| 21.8 | 4.068 | 58 |
| 26.8 | 3.329 | 100 |
| 26.9 | 3.310 | 63 |
| 27.3 | 3.266 | 37 |
| 38.6 | 2.332 | 19 |
| 44.5 | 2.034 | 20 |
| 47.5 | 1.914 | 38 |
| 48.0 | 1.896 | 33 |
| 52.7 | 1.736 | 28 |

Lattice parameters (Å, degrees): 11.6079 8.1359 6.5320 90.00 90.00 90.00
Sites, in units of the cell vectors:
K (0.2500, 0.0000, 0.2316)
K (0.2500, 0.5000, 0.2684)
K (0.7500, 0.0000, 0.7684)
K (0.7500, 0.5000, 0.7316)
Zr (0.0921, 0.2500, 0.7500)
Zr (0.4079, 0.7500, 0.7500)
Zr (0.5921, 0.2500, 0.2500)
Zr (0.9079, 0.7500, 0.2500)
Pd (0.0992, 0.7500, 0.7500)
Pd (0.4008, 0.2500, 0.7500)
Pd (0.5992, 0.7500, 0.2500)
Pd (0.9008, 0.2500, 0.2500)
F (0.0459, 0.1806, 0.4483)
F (0.0459, 0.3194, 0.0517)
F (0.0824, 0.7500, 0.2500)
F (0.1054, 0.0108, 0.8522)
F (0.1054, 0.4892, 0.6478)
F (0.2452, 0.2063, 0.5667)
F (0.2452, 0.2937, 0.9333)
F (0.2548, 0.7063, 0.9333)
F (0.2548, 0.7937, 0.5667)
F (0.3946, 0.5108, 0.6478)
F (0.3946, 0.9892, 0.8522)
F (0.4176, 0.2500, 0.2500)
F (0.4541, 0.6806, 0.0517)
F (0.4541, 0.8194, 0.4483)
F (0.5459, 0.1806, 0.5517)
F (0.5459, 0.3194, 0.9483)
F (0.5824, 0.7500, 0.7500)
F (0.6054, 0.0108, 0.1478)
F (0.6054, 0.4892, 0.3522)
F (0.7452, 0.2063, 0.4333)
F (0.7452, 0.2937, 0.0667)
F (0.7548, 0.7063, 0.0667)
F (0.7548, 0.7937, 0.4333)
F (0.8946, 0.5108, 0.3522)
F (0.8946, 0.9892, 0.1478)
F (0.9176, 0.2500, 0.7500)
F (0.9541, 0.6806, 0.9483)
F (0.9541, 0.8194, 0.5517)

Entry 4:
KPrF4: computed powder diffraction line list (λ = 1.5418 Å (Cu Kα)), based on a crystal structure in the Materials Project, relaxed with GGA-PBE.

Principal peaks in the range 10 to 90 degrees two-theta, sorted by position:
| two_theta | d/Å | I/Imax |
| --- | --- | --- |
| 11.2 | 7.926 | 90 |
| 17.9 | 4.945 | 72 |
| 26.5 | 3.359 | 86 |
| 27.9 | 3.199 | 100 |
| 28.2 | 3.164 | 34 |
| 28.9 | 3.092 | 49 |
| 36.9 | 2.437 | 42 |
| 40.8 | 2.211 | 73 |
| 47.1 | 1.931 | 33 |
| 48.9 | 1.861 | 71 |

Lattice parameters (Å, degrees): 6.3276 3.8130 15.8525 90.00 90.00 90.00
Sites, in units of the cell vectors:
K (0.2213, 0.2500, 0.2027)
K (0.2787, 0.7500, 0.7027)
K (0.7213, 0.2500, 0.2973)
K (0.7787, 0.7500, 0.7973)
Pr (0.2484, 0.7500, 0.4389)
Pr (0.2516, 0.2500, 0.9389)
Pr (0.7484, 0.7500, 0.0611)
Pr (0.7516, 0.2500, 0.5611)
F (0.0055, 0.2500, 0.0583)
F (0.0895, 0.2500, 0.8066)
F (0.1035, 0.2500, 0.3653)
F (0.1349, 0.2500, 0.5357)
F (0.3651, 0.7500, 0.0357)
F (0.3965, 0.7500, 0.8653)
F (0.4105, 0.7500, 0.3066)
F (0.4945, 0.7500, 0.5583)
F (0.5055, 0.2500, 0.4417)
F (0.5895, 0.2500, 0.6934)
F (0.6035, 0.2500, 0.1347)
F (0.6349, 0.2500, 0.9643)
F (0.8651, 0.7500, 0.4643)
F (0.8965, 0.7500, 0.6347)
F (0.9105, 0.7500, 0.1934)
F (0.9945, 0.7500, 0.9417)

Entry 5:
K2PtF6: computed powder diffraction line list (λ = 1.5418 Å (Cu Kα)), based on a crystal structure in the Materials Project, relaxed with GGA-PBE.

Principal peaks in the range 10 to 90 degrees two-theta, sorted by position:
| two_theta | d/Å | I/Imax |
| --- | --- | --- |
| 17.3 | 5.116 | 86 |
| 18.7 | 4.754 | 30 |
| 25.6 | 3.482 | 100 |
| 30.3 | 2.954 | 41 |
| 35.8 | 2.509 | 27 |
| 40.0 | 2.253 | 46 |
| 41.9 | 2.156 | 28 |
| 51.0 | 1.791 | 30 |
| 52.6 | 1.741 | 25 |
| 61.9 | 1.500 | 19 |

Lattice parameters (Å, degrees): 5.9076 5.9076 4.7535 90.00 90.00 120.00
Sites, in units of the cell vectors:
K (0.3333, 0.6667, 0.2147)
K (0.6667, 0.3333, 0.7853)
Pt (0.0000, 0.0000, 0.5000)
F (0.1630, 0.3259, 0.7236)
F (0.1630, 0.8370, 0.7236)
F (0.3259, 0.1630, 0.2764)
F (0.6741, 0.8370, 0.7236)
F (0.8370, 0.1630, 0.2764)
F (0.8370, 0.6741, 0.2764)

Entry 6:
KRb2RhF6: computed powder diffraction line list (λ = 1.5418 Å (Cu Kα)), based on a crystal structure in the Materials Project, relaxed with GGA-PBE.

Principal peaks in the range 10 to 90 degrees two-theta, sorted by position:
| two_theta | d/Å | I/Imax |
| --- | --- | --- |
| 16.9 | 5.245 | 20 |
| 27.8 | 3.212 | 100 |
| 32.7 | 2.739 | 6 |
| 34.2 | 2.623 | 9 |
| 39.7 | 2.271 | 42 |
| 49.1 | 1.855 | 38 |
| 57.4 | 1.606 | 25 |
| 64.9 | 1.437 | 19 |
| 72.0 | 1.311 | 8 |
| 78.8 | 1.214 | 21 |

Lattice parameters (Å, degrees): 6.4244 6.4244 6.4244 60.00 60.00 60.00
Sites, in units of the cell vectors:
K (0.0000, 0.0000, 0.0000)
Rb (0.2500, 0.2500, 0.2500)
Rb (0.7500, 0.7500, 0.7500)
Rh (0.5000, 0.5000, 0.5000)
F (0.2782, 0.2782, 0.7218)
F (0.2782, 0.7218, 0.2782)
F (0.2782, 0.7218, 0.7218)
F (0.7218, 0.2782, 0.2782)
F (0.7218, 0.2782, 0.7218)
F (0.7218, 0.7218, 0.2782)

Entry 7:
K2RbRhF6: computed powder diffraction line list (λ = 1.5418 Å (Cu Kα)), based on a crystal structure in the Materials Project, relaxed with GGA-PBE.

Principal peaks in the range 10 to 90 degrees two-theta, sorted by position:
| two_theta | d/Å | I/Imax |
| --- | --- | --- |
| 19.2 | 4.620 | 48 |
| 27.3 | 3.267 | 100 |
| 39.0 | 2.310 | 46 |
| 43.8 | 2.066 | 19 |
| 48.2 | 1.886 | 36 |
| 56.3 | 1.634 | 27 |
| 60.1 | 1.540 | 9 |
| 63.7 | 1.461 | 20 |
| 70.6 | 1.334 | 8 |
| 77.3 | 1.235 | 21 |

Lattice parameters (Å, degrees): 6.5343 6.5343 6.5343 60.00 60.00 60.00
Sites, in units of the cell vectors:
K (0.2500, 0.2500, 0.2500)
K (0.7500, 0.7500, 0.7500)
Rb (0.0000, 0.0000, 0.0000)
Rh (0.5000, 0.5000, 0.5000)
F (0.2824, 0.2824, 0.7176)
F (0.2824, 0.7176, 0.2824)
F (0.2824, 0.7176, 0.7176)
F (0.7176, 0.2824, 0.2824)
F (0.7176, 0.2824, 0.7176)
F (0.7176, 0.7176, 0.2824)

Entry 8:
K2RbSbF6: computed powder diffraction line list (λ = 1.5418 Å (Cu Kα)), based on a crystal structure in the Materials Project, relaxed with GGA-PBE.

Principal peaks in the range 10 to 90 degrees two-theta, sorted by position:
| two_theta | d/Å | I/Imax |
| --- | --- | --- |
| 18.3 | 4.848 | 50 |
| 26.0 | 3.428 | 100 |
| 37.1 | 2.424 | 48 |
| 41.7 | 2.168 | 23 |
| 45.8 | 1.979 | 39 |
| 53.5 | 1.714 | 29 |
| 57.0 | 1.616 | 11 |
| 60.4 | 1.533 | 20 |
| 73.0 | 1.296 | 21 |
| 84.9 | 1.143 | 10 |

Lattice parameters (Å, degrees): 6.8560 6.8560 6.8560 60.00 60.00 60.00
Sites, in units of the cell vectors:
K (0.2500, 0.2500, 0.2500)
K (0.7500, 0.7500, 0.7500)
Rb (0.0000, 0.0000, 0.0000)
Sb (0.5000, 0.5000, 0.5000)
F (0.2735, 0.2735, 0.7265)
F (0.2735, 0.7265, 0.2735)
F (0.2735, 0.7265, 0.7265)
F (0.7265, 0.2735, 0.2735)
F (0.7265, 0.2735, 0.7265)
F (0.7265, 0.7265, 0.2735)

Entry 9:
KRb2ScF6: computed powder diffraction line list (λ = 1.5418 Å (Cu Kα)), based on a crystal structure in the Materials Project, relaxed with GGA-PBE.

Principal peaks in the range 10 to 90 degrees two-theta, sorted by position:
| two_theta | d/Å | I/Imax |
| --- | --- | --- |
| 27.5 | 3.246 | 100 |
| 27.8 | 3.208 | 63 |
| 34.0 | 2.640 | 40 |
| 38.8 | 2.323 | 28 |
| 39.7 | 2.269 | 42 |
| 48.4 | 1.882 | 24 |
| 49.0 | 1.860 | 48 |
| 56.7 | 1.623 | 25 |
| 65.0 | 1.435 | 15 |
| 78.3 | 1.221 | 17 |

Lattice parameters (Å, degrees): 6.4946 6.4946 6.4946 120.79 120.79 88.64
Sites, in units of the cell vectors:
K (0.0000, 0.0000, 0.0000)
Rb (0.2500, 0.7500, 0.5000)
Rb (0.7500, 0.2500, 0.5000)
Sc (0.5000, 0.5000, 0.0000)
F (0.2247, 0.6597, 0.8844)
F (0.2798, 0.2798, 0.0000)
F (0.3403, 0.2247, 0.5650)
F (0.6597, 0.7753, 0.4350)
F (0.7202, 0.7202, 0.0000)
F (0.7753, 0.3403, 0.1156)

Entry 10:
KRb2ScF6: computed powder diffraction line list (λ = 1.5418 Å (Cu Kα)), based on a crystal structure in the Materials Project, relaxed with GGA-PBE.

Principal peaks in the range 10 to 90 degrees two-theta, sorted by position:
| two_theta | d/Å | I/Imax |
| --- | --- | --- |
| 27.4 | 3.257 | 24 |
| 27.6 | 3.237 | 100 |
| 27.7 | 3.223 | 24 |
| 33.8 | 2.653 | 17 |
| 34.0 | 2.634 | 17 |
| 39.4 | 2.289 | 60 |
| 48.5 | 1.876 | 16 |
| 48.7 | 1.871 | 11 |
| 48.8 | 1.866 | 18 |
| 48.9 | 1.862 | 18 |

Lattice parameters (Å, degrees): 6.4466 6.5142 11.1757 90.00 125.09 90.00
Sites, in units of the cell vectors:
K (0.0000, 0.0000, 0.0000)
K (0.0000, 0.5000, 0.5000)
Rb (0.2563, 0.0330, 0.7500)
Rb (0.2563, 0.4670, 0.2500)
Rb (0.7437, 0.5330, 0.7500)
Rb (0.7437, 0.9670, 0.2500)
Sc (0.5000, 0.0000, 0.5000)
Sc (0.5000, 0.5000, 0.0000)
F (0.2142, 0.0226, 0.2823)
F (0.2142, 0.4774, 0.7823)
F (0.2782, 0.6824, 0.0325)
F (0.2782, 0.8176, 0.5325)
F (0.3613, 0.2456, 0.0395)
F (0.3613, 0.2544, 0.5395)
F (0.6387, 0.7456, 0.4605)
F (0.6387, 0.7544, 0.9605)
F (0.7218, 0.1824, 0.4675)
F (0.7218, 0.3176, 0.9675)
F (0.7858, 0.5226, 0.2177)
F (0.7858, 0.9774, 0.7177)

Entry 11:
KRb2ScF6: computed powder diffraction line list (λ = 1.5418 Å (Cu Kα)), based on a crystal structure in the Materials Project, relaxed with GGA-PBE.

Principal peaks in the range 10 to 90 degrees two-theta, sorted by position:
| two_theta | d/Å | I/Imax |
| --- | --- | --- |
| 27.4 | 3.252 | 100 |
| 33.8 | 2.655 | 30 |
| 39.2 | 2.300 | 50 |
| 48.5 | 1.878 | 37 |
| 56.6 | 1.626 | 29 |
| 64.0 | 1.454 | 20 |
| 67.5 | 1.387 | 8 |
| 71.0 | 1.328 | 9 |
| 77.7 | 1.229 | 21 |
| 84.2 | 1.150 | 4 |

Lattice parameters (Å, degrees): 6.5046 6.5046 6.5046 60.00 60.00 60.00
Sites, in units of the cell vectors:
K (0.0000, 0.0000, 0.0000)
Rb (0.2500, 0.2500, 0.2500)
Rb (0.7500, 0.7500, 0.7500)
Sc (0.5000, 0.5000, 0.5000)
F (0.2786, 0.2786, 0.7214)
F (0.2786, 0.7214, 0.2786)
F (0.2786, 0.7214, 0.7214)
F (0.7214, 0.2786, 0.2786)
F (0.7214, 0.2786, 0.7214)
F (0.7214, 0.7214, 0.2786)

Entry 12:
K2RbScF6: computed powder diffraction line list (λ = 1.5418 Å (Cu Kα)), based on a crystal structure in the Materials Project, relaxed with GGA-PBE.

Principal peaks in the range 10 to 90 degrees two-theta, sorted by position:
| two_theta | d/Å | I/Imax |
| --- | --- | --- |
| 19.0 | 4.669 | 32 |
| 27.0 | 3.301 | 100 |
| 31.8 | 2.816 | 9 |
| 38.6 | 2.335 | 58 |
| 42.2 | 2.142 | 11 |
| 43.3 | 2.088 | 11 |
| 47.7 | 1.906 | 34 |
| 55.7 | 1.651 | 32 |
| 63.0 | 1.476 | 20 |
| 76.3 | 1.248 | 20 |

Lattice parameters (Å, degrees): 6.6030 6.6030 6.6030 60.00 60.00 60.00
Sites, in units of the cell vectors:
K (0.2500, 0.2500, 0.2500)
K (0.7500, 0.7500, 0.7500)
Rb (0.0000, 0.0000, 0.0000)
Sc (0.5000, 0.5000, 0.5000)
F (0.2825, 0.2825, 0.7175)
F (0.2825, 0.7175, 0.2825)
F (0.2825, 0.7175, 0.7175)
F (0.7175, 0.2825, 0.2825)
F (0.7175, 0.2825, 0.7175)
F (0.7175, 0.7175, 0.2825)